# K3NpBr6Cl2
Calculated powder X-ray diffraction pattern, CuKα. Input: the GGA-PBE geometry in Alexandria.

Crystal structure
Cell lengths 9.7823, 9.7823, 6.7888 Å; angles 102.78, 102.78, 56.76 degrees
Atoms (fractional coordinates):
K (0.0000, 0.0000, 0.0000)
K (0.0000, 0.5000, 0.5000)
K (0.5000, 0.0000, 0.5000)
Np (0.5000, 0.5000, 0.5000)
Br (0.2077, 0.6189, 0.2645)
Br (0.3811, 0.7923, 0.7355)
Br (0.3956, 0.3956, 0.7367)
Br (0.6044, 0.6044, 0.2633)
Br (0.6189, 0.2077, 0.2645)
Br (0.7923, 0.3811, 0.7355)
Cl (0.1642, 0.1642, 0.2718)
Cl (0.8358, 0.8358, 0.7282)

Largest 10 diffraction maxima, low angle first, 2θ from 5° to 70°:
2theta	Rel. int.
10.6	50
10.9	100
13.5	27
16.3	29
22.2	19
27.2	55
30.1	23
32.9	20
37.3	22
37.5	19